(1)
This entry pairs a crystal structure of TaFe8W3 with its simulated XRD peak list. Radiation: Cu Kα X-rays. Structure: a DFT-relaxed cell (PBE, Alexandria).

Cell and atoms:
```
data_TaFe8W3
_cell_length_a 4.6995
_cell_length_b 4.6995
_cell_length_c 7.8076
_cell_angle_alpha 90.00
_cell_angle_beta 90.00
_cell_angle_gamma 120.00
_space_group_name_H-M_alt 'P 3 m 1'
_space_group_IT_number 156
loop_
_space_group_symop_operation_xyz
'x,y,z'
'-y,x-y,z'
'-x+y,-x,z'
'-y,-x,z'
'-x+y,y,z'
'x,x-y,z'
loop_
_atom_site_label
_atom_site_type_symbol
_atom_site_fract_x
_atom_site_fract_y
_atom_site_fract_z
Ta1 Ta 0.0000 0.0000 0.0000
Fe1 Fe 0.1632 0.3263 0.6819
Fe2 Fe 0.3333 0.6667 0.4322
Fe3 Fe 0.3333 0.6667 0.9330
Fe4 Fe 0.5042 0.0084 0.1838
W1 W 0.0000 0.0000 0.3672
W2 W 0.6667 0.3333 0.5000
W3 W 0.6667 0.3333 0.8572
```

Main lines, in order of rising 2θ (2θ = 10–90°):
| 2θ/deg | I/Imax |
| --- | --- |
| 21.8 | 18 |
| 24.7 | 17 |
| 38.3 | 64 |
| 41.2 | 100 |
| 45.0 | 75 |
| 46.1 | 46 |
| 71.2 | 38 |
| 74.0 | 17 |
| 77.0 | 25 |
| 82.0 | 18 |

***

(2)
This entry pairs a crystal structure of Bi9Rh2I3 with its simulated XRD peak list. Radiation: Cu Kα X-rays. Structure: a DFT-relaxed cell (PBE, Alexandria).

Cell and atoms:
```
data_Bi9Rh2I3
_cell_length_a 8.4365
_cell_length_b 13.8402
_cell_length_c 9.4913
_cell_angle_alpha 90.00
_cell_angle_beta 116.25
_cell_angle_gamma 90.00
_space_group_name_H-M_alt 'P 1 21/m 1'
_space_group_IT_number 11
loop_
_space_group_symop_operation_xyz
'x,y,z'
'-x,-y,-z'
'-x,y+1/2,-z'
'x,-y+1/2,z'
loop_
_atom_site_label
_atom_site_type_symbol
_atom_site_fract_x
_atom_site_fract_y
_atom_site_fract_z
Bi1 Bi 0.0861 0.2500 0.1729
Bi2 Bi 0.1381 0.5373 0.8312
Bi3 Bi 0.1548 0.2500 0.8578
Bi4 Bi 0.1908 0.6345 0.3837
Bi5 Bi 0.2962 0.7500 0.1422
Bi6 Bi 0.3061 0.0373 0.1686
Rh1 Rh 0.0299 0.6000 0.0601
I1 I 0.2981 0.0975 0.5945
I2 I 0.4092 0.7500 0.8177
```

Main lines, in order of rising 2θ (2θ = 10–90°):
| 2θ/deg | I/Imax |
| --- | --- |
| 10.4 | 41 |
| 11.7 | 76 |
| 23.5 | 35 |
| 27.8 | 33 |
| 28.5 | 29 |
| 30.5 | 100 |
| 30.6 | 57 |
| 33.5 | 38 |
| 41.1 | 31 |
| 42.9 | 28 |